Record 1
Simulated powder diffraction line list
Compound: Rb2V3AgF12
Radiation: CuKα
Structure: a GGA+U-relaxed structure

Cell and atoms:
```
data_Rb2V3AgF12
_space_group_name_H-M_alt 'R -3 m'
_space_group_IT_number 166
_space_group_name_Hall '-R 3 2"'
_cell_length_a 7.6184
_cell_length_b 7.6184
_cell_length_c 18.0043
_cell_angle_alpha 90.00
_cell_angle_beta 90.00
_cell_angle_gamma 120.00
loop_
_atom_site_label
_atom_site_type_symbol
_atom_site_fract_x
_atom_site_fract_y
_atom_site_fract_z
Rb1 Rb 0.0000 0.0000 0.1215
V1 V 0.0000 0.5000 0.0000
Ag1 Ag 0.0000 0.0000 0.5000
F1 F 0.0150 0.5075 0.8933
F2 F 0.0738 0.5369 0.3285
```

Largest 10 diffraction maxima, sorted by position, 5 to 70 degrees two-theta:
- d 6.195, 14.30 deg, rel. 20
- d 3.809, 23.35 deg, rel. 28
- d 3.245, 27.49 deg, rel. 29
- d 3.216, 27.74 deg, rel. 100
- d 3.161, 28.23 deg, rel. 40
- d 3.097, 28.82 deg, rel. 34
- d 2.432, 36.96 deg, rel. 22
- d 2.065, 43.84 deg, rel. 34
- d 1.905, 47.75 deg, rel. 47
- d 1.859, 49.00 deg, rel. 23

***

Record 2
Simulated powder diffraction line list
Compound: RbVAg2F8
Radiation: CuKα
Structure: a GGA+U-relaxed structure

Cell and atoms:
```
data_RbVAg2F8
_space_group_name_H-M_alt 'P -1'
_space_group_IT_number 2
_space_group_name_Hall '-P 1'
_cell_length_a 4.980
_cell_length_b 5.520
_cell_length_c 7.702
_cell_angle_alpha 81.01
_cell_angle_beta 83.37
_cell_angle_gamma 88.01
loop_
_atom_site_label
_atom_site_type_symbol
_atom_site_fract_x
_atom_site_fract_y
_atom_site_fract_z
Rb1 Rb 0.000 0.000 0.000
V1 V 0.000 0.000 0.500
Ag1 Ag 0.424 0.477 0.237
F1 F 0.138 0.790 0.684
F2 F 0.201 0.825 0.336
F3 F 0.287 0.228 0.485
F4 F 0.466 0.271 0.005
```

Largest 10 diffraction maxima, sorted by position, 5 to 70 degrees two-theta:
- d 4.368, 20.33 deg, rel. 24
- d 3.695, 24.09 deg, rel. 100
- d 3.633, 24.51 deg, rel. 93
- d 3.357, 26.56 deg, rel. 71
- d 3.179, 28.07 deg, rel. 38
- d 2.905, 30.78 deg, rel. 51
- d 2.854, 31.35 deg, rel. 28
- d 2.432, 36.96 deg, rel. 37
- d 2.084, 43.41 deg, rel. 34
- d 1.940, 46.84 deg, rel. 24

***

Record 3
Simulated powder diffraction line list
Compound: RbVAg2F6
Radiation: CuKα
Structure: a GGA+U-relaxed structure

Cell and atoms:
```
data_RbVAg2F6
_space_group_name_H-M_alt 'P -1'
_space_group_IT_number 2
_space_group_name_Hall '-P 1'
_cell_length_a 6.190
_cell_length_b 6.203
_cell_length_c 6.222
_cell_angle_alpha 61.28
_cell_angle_beta 61.42
_cell_angle_gamma 61.22
loop_
_atom_site_label
_atom_site_type_symbol
_atom_site_fract_x
_atom_site_fract_y
_atom_site_fract_z
Rb1 Rb 0.000 0.000 0.000
V1 V 0.500 0.500 0.500
Ag1 Ag 0.276 0.276 0.275
F1 F 0.158 0.675 0.441
F2 F 0.335 0.560 0.839
F3 F 0.436 0.162 0.666
```

Largest 10 diffraction maxima, sorted by position, 5 to 70 degrees two-theta:
- d 5.016, 17.68 deg, rel. 24
- d 3.168, 28.17 deg, rel. 100
- d 3.155, 28.29 deg, rel. 51
- d 3.105, 28.75 deg, rel. 89
- d 3.094, 28.86 deg, rel. 43
- d 2.676, 33.49 deg, rel. 49
- d 2.216, 40.71 deg, rel. 35
- d 1.824, 50.00 deg, rel. 31
- d 1.820, 50.11 deg, rel. 23
- d 1.813, 50.34 deg, rel. 28

***

Record 4
Simulated powder diffraction line list
Compound: RbAgWF6
Radiation: CuKα
Structure: a GGA+U-relaxed structure

Cell and atoms:
```
data_RbAgWF6
_space_group_name_H-M_alt 'P 42 n m'
_space_group_IT_number 102
_space_group_name_Hall 'P 4n -2n'
_cell_length_a 5.558
_cell_length_b 5.558
_cell_length_c 11.431
_cell_angle_alpha 90.00
_cell_angle_beta 90.00
_cell_angle_gamma 90.00
loop_
_atom_site_label
_atom_site_type_symbol
_atom_site_fract_x
_atom_site_fract_y
_atom_site_fract_z
Rb1 Rb 0.000 0.000 0.000
Ag1 Ag 0.000 0.000 0.672
W1 W 0.000 0.000 0.337
F1 F 0.163 0.163 0.474
F2 F 0.181 0.181 0.208
F3 F 0.245 0.245 0.825
```

Largest 10 diffraction maxima, sorted by position, 5 to 70 degrees two-theta:
- d 4.999, 17.74 deg, rel. 24
- d 3.930, 22.62 deg, rel. 100
- d 3.143, 28.40 deg, rel. 86
- d 2.779, 32.21 deg, rel. 22
- d 2.082, 43.47 deg, rel. 70
- d 1.965, 46.19 deg, rel. 18
- d 1.758, 52.03 deg, rel. 16
- d 1.714, 53.45 deg, rel. 18
- d 1.666, 55.12 deg, rel. 21
- d 1.429, 65.29 deg, rel. 17